For ZrTlVO5, a cell relaxed with GGA+U gives the simulated X-ray powder pattern in this record (λ = 1.5418 Å (Cu Kα)).
Neutral-atom scattering factors, no anomalous dispersion.

Most intense lines, 5° ≤ 2θ ≤ 70°, low angle first:
Position (°2θ)	I/Imax
16.35	52
24.45	80
26.47	88
30.43	100
31.19	52
33.04	32
38.92	32
49.27	29

Crystal structure
```
ZrTlVO5
1.0
3.748 -4.897 0.000
3.748 4.897 0.000
-3.462 0.000 7.076
Zr Tl V O
2 2 2 10
Cartesian
0.000 0.000 0.000 Zr
-1.731 0.000 3.538 Zr
1.152 1.747 5.307 Tl
2.883 -1.747 1.769 Tl
2.883 1.830 1.769 V
1.152 -1.830 5.307 V
1.152 4.330 5.307 O
1.847 2.876 2.736 O
1.895 0.790 0.778 O
3.918 2.876 0.802 O
0.164 -0.790 4.316 O
3.870 0.790 2.761 O
0.116 -2.876 6.274 O
2.139 -0.790 6.299 O
2.187 -2.876 4.340 O
2.883 -4.330 1.769 O
```


For ZrTlV2O8, a cell relaxed with GGA+U gives the simulated X-ray powder pattern in this record (λ = 1.5418 Å (Cu Kα)).
Neutral-atom scattering factors, no anomalous dispersion.

Most intense lines, 5° ≤ 2θ ≤ 70°, low angle first:
Position (°2θ)	I/Imax
20.10	22
23.85	100
32.67	38
35.26	24
39.80	18
40.86	17
53.26	20
56.80	19

Crystal structure
```
ZrTlV2O8
1.0
2.741 1.582 8.040
-2.741 1.582 8.040
0.000 -3.165 8.040
Zr Tl V O
1 1 2 8
Cartesian
0.000 0.000 0.000 Zr
0.000 0.000 12.061 Tl
0.000 0.000 6.255 V
0.000 0.000 17.867 V
-0.581 -1.558 6.806 O
0.000 0.000 4.553 O
-1.059 1.282 6.806 O
-1.640 -0.276 17.316 O
1.640 0.276 6.806 O
1.059 -1.282 17.316 O
0.000 0.000 19.568 O
0.581 1.558 17.316 O
```


For TlW3O9, a cell relaxed with GGA+U gives the simulated X-ray powder pattern in this record (λ = 1.5418 Å (Cu Kα)).
Neutral-atom scattering factors, no anomalous dispersion.

Most intense lines, 5° ≤ 2θ ≤ 70°, low angle first:
Position (°2θ)	I/Imax
22.96	23
26.76	42
27.33	100
33.17	24
35.99	24
43.49	16
48.30	25
56.39	16

Crystal structure
```
TlW3O9
1.0
7.537 0.000 0.000
-3.768 6.527 0.000
0.000 0.000 3.873
Tl W O
1 3 9
Cartesian
0.000 0.000 0.000 Tl
-1.884 3.264 2.510 W
3.768 0.000 2.510 W
1.884 3.264 2.510 W
-1.884 3.264 0.579 O
0.000 2.750 2.521 O
-1.387 5.152 2.521 O
2.381 1.375 2.521 O
3.768 0.000 0.579 O
1.884 3.264 0.579 O
1.387 5.152 2.521 O
5.156 1.375 2.521 O
3.768 3.778 2.521 O
```


For Tl4WO5, a cell relaxed with GGA+U gives the simulated X-ray powder pattern in this record (λ = 1.5418 Å (Cu Kα)).
Neutral-atom scattering factors, no anomalous dispersion.

Most intense lines, 5° ≤ 2θ ≤ 70°, low angle first:
Position (°2θ)	I/Imax
28.65	59
30.37	100
40.96	25
45.88	10
51.83	48
54.99	20
63.17	14
67.18	12

Crystal structure
```
Tl4WO5
1.0
-4.927 4.927 1.978
4.927 -4.927 1.978
4.927 4.927 -1.978
Tl W O
4 1 5
Cartesian
6.887 0.930 0.000 Tl
0.930 2.967 0.000 Tl
3.997 1.960 1.978 Tl
-1.960 3.997 1.978 Tl
0.000 0.000 1.990 W
0.000 0.000 3.954 O
3.547 3.538 -0.006 O
1.389 -1.380 1.972 O
3.538 6.306 -0.006 O
1.380 1.389 1.972 O
```


For TlW4O12, a cell relaxed with GGA+U gives the simulated X-ray powder pattern in this record (λ = 1.5418 Å (Cu Kα)).
Neutral-atom scattering factors, no anomalous dispersion.

Most intense lines, 5° ≤ 2θ ≤ 70°, low angle first:
Position (°2θ)	I/Imax
16.01	29
22.72	59
27.92	16
32.35	100
46.40	31
52.27	24
57.70	41
67.72	19

Crystal structure
```
TlW4O12
1.0
-3.914 3.914 3.914
3.914 -3.914 3.914
3.914 3.914 -3.914
Tl W O
1 4 12
Cartesian
0.000 0.000 0.000 Tl
1.957 1.957 -1.957 W
1.957 -1.957 1.957 W
-1.957 1.957 1.957 W
1.957 1.957 1.957 W
3.914 1.950 -1.950 O
3.914 -1.950 1.950 O
1.950 3.914 -1.950 O
1.964 1.964 0.000 O
1.964 0.000 1.964 O
1.950 -1.950 3.914 O
3.914 1.950 1.950 O
0.000 1.964 1.964 O
-1.950 3.914 1.950 O
-1.950 1.950 3.914 O
1.950 3.914 1.950 O
1.950 1.950 3.914 O
```


For Tl2WO6, a cell relaxed with GGA+U gives the simulated X-ray powder pattern in this record (λ = 1.5418 Å (Cu Kα)).
Neutral-atom scattering factors, no anomalous dispersion.

Most intense lines, 5° ≤ 2θ ≤ 70°, low angle first:
Position (°2θ)	I/Imax
18.97	60
30.16	100
31.60	24
32.72	20
33.81	26
46.13	22
47.76	29
55.39	20

Crystal structure
```
Tl2WO6
1.0
5.474 0.000 0.000
0.000 5.662 0.000
0.000 0.000 9.003
Tl W O
4 2 12
Cartesian
0.000 0.000 1.852 Tl
0.000 0.000 7.151 Tl
2.737 2.831 2.649 Tl
2.737 2.831 6.353 Tl
0.000 2.831 0.000 W
2.737 0.000 4.501 W
0.953 1.158 0.000 O
1.134 3.633 1.406 O
1.134 3.633 7.597 O
1.602 0.802 3.095 O
1.602 0.802 5.907 O
1.784 3.989 4.501 O
3.690 1.673 4.501 O
3.871 4.860 3.095 O
3.871 4.860 5.907 O
4.339 2.029 1.406 O
4.339 2.029 7.597 O
4.521 4.504 0.000 O
```


For Tl3W2O8, a cell relaxed with GGA+U gives the simulated X-ray powder pattern in this record (λ = 1.5418 Å (Cu Kα)).
Neutral-atom scattering factors, no anomalous dispersion.

Most intense lines, 5° ≤ 2θ ≤ 70°, low angle first:
Position (°2θ)	I/Imax
26.39	100
28.39	97
39.15	37
45.29	23
49.06	37
50.27	20
62.42	17
65.50	16

Crystal structure
```
Tl3W2O8
1.0
3.144 1.815 7.176
-3.144 1.815 7.176
0.000 -3.630 7.176
Tl W O
3 2 8
Cartesian
0.000 0.000 0.000 Tl
0.000 0.000 4.045 Tl
0.000 0.000 17.484 Tl
0.000 0.000 8.462 W
0.000 0.000 13.067 W
0.000 -1.740 9.043 O
-1.507 0.870 9.043 O
-1.507 -0.870 12.487 O
0.000 0.000 6.677 O
0.000 0.000 14.852 O
1.507 0.870 9.043 O
1.507 -0.870 12.487 O
0.000 1.740 12.487 O
```


For Tl3WO4, a cell relaxed with GGA+U gives the simulated X-ray powder pattern in this record (λ = 1.5418 Å (Cu Kα)).
Neutral-atom scattering factors, no anomalous dispersion.

Most intense lines, 5° ≤ 2θ ≤ 70°, low angle first:
Position (°2θ)	I/Imax
25.45	33
28.19	27
28.75	100
38.34	25
46.94	27
50.25	22
59.53	14
63.55	11

Crystal structure
```
Tl3WO4
1.0
-3.165 4.141 3.500
3.165 -4.141 3.500
3.165 4.141 -3.500
Tl W O
3 1 4
Cartesian
0.000 0.000 0.000 Tl
3.165 2.097 0.125 Tl
0.000 2.043 3.625 Tl
3.165 0.000 3.428 W
1.482 4.141 -1.132 O
1.683 0.000 2.368 O
0.000 2.631 0.954 O
0.000 5.651 0.954 O
```